# 1
The following is a theoretical powder X-ray diffraction pattern of MgBIO2. It was derived from a crystal structure in Alexandria, relaxed with PBE, using Cu Ka.
No peak broadening, texture or thermal motion is included.

Cell and atoms:
Cell lengths 3.723, 3.723, 4.830 Å; angles 90.00, 90.00, 90.00 degrees
Atoms (fractional coordinates):
1 Mg 0.000 0.000 0.000
2 B 0.500 0.500 0.500
3 I 0.500 0.500 0.000
4 O 0.000 0.500 0.500
5 O 0.500 0.000 0.500

Most intense lines, 2θ from 10° to 80°, sorted by position:
| 2θ (°) | intensity |
| --- | --- |
| 18.4 | 61 |
| 23.9 | 70 |
| 30.3 | 53 |
| 34.1 | 37 |
| 37.2 | 34 |
| 39.0 | 100 |
| 48.9 | 29 |
| 63.0 | 26 |


# 2
The following is a theoretical powder X-ray diffraction pattern of CrRh6W. It was derived from a crystal structure in Alexandria, relaxed with PBE, using Cu Ka.
No peak broadening, texture or thermal motion is included.

Cell and atoms:
Cell lengths 5.428, 5.428, 3.847 Å; angles 90.00, 90.00, 90.00 degrees
Atoms (fractional coordinates):
1 Cr 0.000 0.000 0.000
2 Rh 0.000 0.500 0.000
3 Rh 0.250 0.250 0.500
4 Rh 0.250 0.750 0.500
5 Rh 0.500 0.000 0.000
6 Rh 0.750 0.250 0.500
7 Rh 0.750 0.750 0.500
8 W 0.500 0.500 0.000

Most intense lines, 2θ from 10° to 80°, sorted by position:
| 2θ (°) | intensity |
| --- | --- |
| 16.3 | 10 |
| 28.4 | 5 |
| 37.0 | 3 |
| 40.7 | 100 |
| 44.1 | 4 |
| 47.3 | 16 |
| 47.4 | 32 |
| 69.2 | 30 |


# 3
The following is a theoretical powder X-ray diffraction pattern of Bi3BC. It was derived from a crystal structure in Alexandria, relaxed with PBE, using Cu Ka.
No peak broadening, texture or thermal motion is included.

Cell and atoms:
Cell lengths 4.971, 4.971, 4.971 Å; angles 90.00, 90.00, 90.00 degrees
Atoms (fractional coordinates):
1 Bi 0.000 0.000 0.500
2 Bi 0.000 0.500 0.000
3 Bi 0.500 0.000 0.000
4 B 0.000 0.000 0.000
5 C 0.500 0.500 0.500

Most intense lines, 2θ from 10° to 80°, sorted by position:
| 2θ (°) | intensity |
| --- | --- |
| 17.8 | 30 |
| 25.3 | 22 |
| 31.2 | 100 |
| 36.1 | 54 |
| 40.6 | 16 |
| 52.0 | 38 |
| 61.9 | 44 |
| 65.0 | 13 |


# 4
The following is a theoretical powder X-ray diffraction pattern of LaZnGaNi. It was derived from a crystal structure in Alexandria, relaxed with PBE, using Cu Ka.
No peak broadening, texture or thermal motion is included.

Cell and atoms:
Cell lengths 5.883, 5.883, 5.883 Å; angles 41.52, 41.52, 41.52 degrees
Atoms (fractional coordinates):
1 La 0.000 0.000 0.000
2 Zn 0.203 0.203 0.203
3 Ga 0.796 0.796 0.796
4 Ni 0.501 0.501 0.501

Most intense lines, 2θ from 10° to 80°, sorted by position:
| 2θ (°) | intensity |
| --- | --- |
| 25.3 | 31 |
| 27.1 | 13 |
| 33.3 | 100 |
| 37.4 | 40 |
| 43.4 | 68 |
| 55.8 | 45 |
| 63.2 | 21 |
| 73.2 | 15 |


# 5
The following is a theoretical powder X-ray diffraction pattern of Nd4IrRuI2. It was derived from a crystal structure in Alexandria, relaxed with PBE, using Cu Ka.
No peak broadening, texture or thermal motion is included.

Cell and atoms:
Cell lengths 7.249, 4.184, 8.499 Å; angles 90.00, 106.50, 90.00 degrees
Atoms (fractional coordinates):
1 Nd 0.225 0.000 0.185
2 Nd 0.268 0.500 0.816
3 Nd 0.732 0.500 0.184
4 Nd 0.775 0.000 0.815
5 Ir 0.500 0.000 0.000
6 Ru 0.000 0.500 0.000
7 I 0.000 0.000 0.500
8 I 0.500 0.500 0.500

Most intense lines, 2θ from 10° to 80°, sorted by position:
| 2θ (°) | intensity |
| --- | --- |
| 10.9 | 21 |
| 28.6 | 100 |
| 35.7 | 14 |
| 38.5 | 27 |
| 43.2 | 38 |
| 44.7 | 9 |
| 52.7 | 18 |
| 70.4 | 16 |


# 6
The following is a theoretical powder X-ray diffraction pattern of Mg6MnSi. It was derived from a crystal structure in Alexandria, relaxed with PBE, using Cu Ka.
No peak broadening, texture or thermal motion is included.

Cell and atoms:
Cell lengths 4.785, 6.149, 6.149 Å; angles 60.43, 90.00, 90.00 degrees
Atoms (fractional coordinates):
1 Mg 0.000 0.000 0.000
2 Mg 0.000 0.013 0.498
3 Mg 0.000 0.498 0.013
4 Mg 0.500 0.337 0.827
5 Mg 0.500 0.827 0.337
6 Mg 0.500 0.834 0.834
7 Mn 0.500 0.345 0.345
8 Si 0.000 0.488 0.488

Most intense lines, 2θ from 10° to 80°, sorted by position:
| 2θ (°) | intensity |
| --- | --- |
| 33.5 | 30 |
| 37.6 | 37 |
| 38.6 | 100 |
| 38.8 | 54 |
| 51.2 | 17 |
| 60.2 | 16 |
| 68.5 | 17 |
| 73.2 | 17 |


# 7
The following is a theoretical powder X-ray diffraction pattern of Ca3Mo3N5. It was derived from a crystal structure in Alexandria, relaxed with PBE, using Cu Ka.
No peak broadening, texture or thermal motion is included.

Cell and atoms:
Cell lengths 5.808, 7.391, 8.137 Å; angles 105.69, 101.93, 102.30 degrees
Atoms (fractional coordinates):
1 Ca 0.169 0.331 0.374
2 Ca 0.176 0.148 0.702
3 Ca 0.311 0.942 0.100
4 Ca 0.689 0.058 0.900
5 Ca 0.824 0.852 0.298
6 Ca 0.831 0.669 0.626
7 Mo 0.263 0.497 0.075
8 Mo 0.341 0.611 0.765
9 Mo 0.388 0.818 0.489
10 Mo 0.612 0.182 0.511
11 Mo 0.659 0.389 0.235
12 Mo 0.737 0.503 0.925
13 N 0.053 0.616 0.895
14 N 0.249 0.022 0.396
15 N 0.282 0.849 0.706
16 N 0.443 0.282 0.988
17 N 0.491 0.592 0.335
18 N 0.509 0.408 0.665
19 N 0.557 0.718 0.012
20 N 0.718 0.151 0.294
21 N 0.751 0.978 0.604
22 N 0.947 0.384 0.105

Most intense lines, 2θ from 10° to 80°, sorted by position:
| 2θ (°) | intensity |
| --- | --- |
| 13.0 | 54 |
| 16.3 | 68 |
| 20.3 | 70 |
| 31.7 | 55 |
| 32.2 | 100 |
| 33.8 | 96 |
| 35.0 | 87 |
| 40.5 | 88 |


# 8
The following is a theoretical powder X-ray diffraction pattern of Na3SrS8. It was derived from a crystal structure in Alexandria, relaxed with PBE, using Cu Ka.
No peak broadening, texture or thermal motion is included.

Cell and atoms:
Cell lengths 7.696, 7.555, 7.215 Å; angles 62.75, 60.78, 56.46 degrees
Atoms (fractional coordinates):
1 Na 0.000 0.000 0.000
2 Na 0.250 0.250 0.250
3 Na 0.750 0.750 0.750
4 Sr 0.500 0.500 0.500
5 S 0.095 0.905 0.392
6 S 0.145 0.349 0.855
7 S 0.349 0.145 0.651
8 S 0.392 0.608 0.095
9 S 0.608 0.392 0.905
10 S 0.651 0.855 0.349
11 S 0.855 0.651 0.145
12 S 0.905 0.095 0.608

Most intense lines, 2θ from 10° to 80°, sorted by position:
| 2θ (°) | intensity |
| --- | --- |
| 14.6 | 37 |
| 24.7 | 96 |
| 31.6 | 80 |
| 34.5 | 62 |
| 40.5 | 48 |
| 43.2 | 100 |
| 47.4 | 46 |
| 64.4 | 28 |


# 9
The following is a theoretical powder X-ray diffraction pattern of RbIn2Ag2Sn. It was derived from a crystal structure in Alexandria, relaxed with PBE, using Cu Ka.
No peak broadening, texture or thermal motion is included.

Cell and atoms:
Cell lengths 5.323, 5.323, 7.014 Å; angles 90.00, 90.00, 90.00 degrees
Atoms (fractional coordinates):
1 Rb 0.000 0.000 0.000
2 In 0.500 0.500 0.256
3 In 0.500 0.500 0.744
4 Ag 0.000 0.500 0.500
5 Ag 0.500 0.000 0.500
6 Sn 0.000 0.000 0.500

Most intense lines, 2θ from 10° to 80°, sorted by position:
| 2θ (°) | intensity |
| --- | --- |
| 12.6 | 74 |
| 26.9 | 24 |
| 30.5 | 100 |
| 33.7 | 88 |
| 36.1 | 24 |
| 46.1 | 63 |
| 48.4 | 31 |
| 63.5 | 30 |


# 10
The following is a theoretical powder X-ray diffraction pattern of TlCu2F4. It was derived from a crystal structure in Alexandria, relaxed with PBE, using Cu Ka.
No peak broadening, texture or thermal motion is included.

Cell and atoms:
Cell lengths 7.019, 7.019, 7.019 Å; angles 124.56, 124.56, 82.26 degrees
Atoms (fractional coordinates):
1 Tl 0.375 0.125 0.250
2 Tl 0.625 0.875 0.750
3 Cu 0.000 0.000 0.500
4 Cu 0.000 0.500 0.000
5 Cu 0.000 0.500 0.500
6 Cu 0.500 0.500 0.000
7 F 0.029 0.166 0.360
8 F 0.170 0.529 0.363
9 F 0.306 0.670 0.140
10 F 0.334 0.194 0.863
11 F 0.666 0.806 0.137
12 F 0.694 0.330 0.860
13 F 0.830 0.471 0.637
14 F 0.971 0.834 0.640

Most intense lines, 2θ from 10° to 80°, sorted by position:
| 2θ (°) | intensity |
| --- | --- |
| 25.6 | 66 |
| 28.8 | 43 |
| 31.8 | 100 |
| 45.1 | 19 |
| 47.3 | 28 |
| 51.2 | 20 |
| 52.6 | 28 |
| 70.2 | 18 |


Question: What is the formula in the third record?
Answer: Bi3BC


Repeat the eighth record exactly.
The following is a theoretical powder X-ray diffraction pattern of Na3SrS8. It was derived from a crystal structure in Alexandria, relaxed with PBE, using Cu Ka.
No peak broadening, texture or thermal motion is included.

Cell and atoms:
Cell lengths 7.696, 7.555, 7.215 Å; angles 62.75, 60.78, 56.46 degrees
Atoms (fractional coordinates):
1 Na 0.000 0.000 0.000
2 Na 0.250 0.250 0.250
3 Na 0.750 0.750 0.750
4 Sr 0.500 0.500 0.500
5 S 0.095 0.905 0.392
6 S 0.145 0.349 0.855
7 S 0.349 0.145 0.651
8 S 0.392 0.608 0.095
9 S 0.608 0.392 0.905
10 S 0.651 0.855 0.349
11 S 0.855 0.651 0.145
12 S 0.905 0.095 0.608

Most intense lines, 2θ from 10° to 80°, sorted by position:
| 2θ (°) | intensity |
| --- | --- |
| 14.6 | 37 |
| 24.7 | 96 |
| 31.6 | 80 |
| 34.5 | 62 |
| 40.5 | 48 |
| 43.2 | 100 |
| 47.4 | 46 |
| 64.4 | 28 |